1.
Diffraction record for KXeO3F. The PXRD pattern is theoretical, not measured: it uses a crystal structure in Alexandria, relaxed with PBE and CuKα.
Peak positions follow from Bragg's law for the DFT cell and can differ from measured ones.

Crystal structure
abc: 7.5340 8.4603 7.1274
angles: 90.00 90.00 90.00
Fractional coordinates of all 24 atoms:
K  0.1266  0.1528  0.0000
K  0.3734  0.6528  0.5000
K  0.6266  0.3472  0.0000
K  0.8734  0.8472  0.5000
Xe  0.1006  0.6334  0.0230
Xe  0.3994  0.1334  0.5230
Xe  0.6006  0.8666  0.0230
Xe  0.8994  0.3666  0.5230
O  0.1016  0.7103  0.7733
O  0.2065  0.9912  0.5394
O  0.2105  0.8135  0.1361
O  0.2895  0.3135  0.6361
O  0.2935  0.4912  0.0394
O  0.3984  0.2103  0.2733
O  0.6016  0.7897  0.7733
O  0.7065  0.5088  0.5394
O  0.7105  0.6865  0.1361
O  0.7895  0.1865  0.6361
O  0.7935  0.0088  0.0394
O  0.8984  0.2897  0.2733
F  0.0499  0.5815  0.3774
F  0.4501  0.0815  0.8774
F  0.5499  0.9185  0.3774
F  0.9501  0.4185  0.8774

The 6 most intense peaks (2θ = 10–80°), by intensity:
| Position (°2θ) | I (rel.) | index |
| --- | --- | --- |
| 27.22 | 100 | 1 2 1 |
| 26.77 | 89 | 2 0 1 |
| 24.99 | 62 | 0 0 2 |
| 15.75 | 59 | 1 1 0 |
| 16.26 | 55 | 0 1 1 |
| 24.13 | 49 | 1 2 0 |

---

2.
Diffraction record for KTlOsF6. The PXRD pattern is theoretical, not measured: it uses a crystal structure in Alexandria, relaxed with PBE and CuKα.
Peak positions follow from Bragg's law for the DFT cell and can differ from measured ones.

Crystal structure
abc: 6.3618 6.3618 5.2798
angles: 90.00 90.00 120.00
Fractional coordinates of all 9 atoms:
K  0.0000  0.0000  0.0000
Tl  0.6667  0.3333  0.5000
Os  0.3333  0.6667  0.0000
F  0.0763  0.4091  0.2112
F  0.0763  0.6672  0.7888
F  0.3328  0.4091  0.7888
F  0.3328  0.9237  0.2112
F  0.5909  0.6672  0.2112
F  0.5909  0.9237  0.7888

The 6 most intense peaks (2θ = 10–80°), by intensity:
| Position (°2θ) | I (rel.) | index |
| --- | --- | --- |
| 23.34 | 100 | 1 0 1 |
| 28.05 | 39 | 1 1 0 |
| 44.60 | 33 | 2 -1 2 |
| 46.90 | 31 | 3 -1 1 |
| 16.09 | 29 | 1 0 0 |
| 36.80 | 29 | 2 0 1 |

---

3.
Diffraction record for KPF6. The PXRD pattern is theoretical, not measured: it uses a crystal structure in Alexandria, relaxed with PBE and CuKα.
Peak positions follow from Bragg's law for the DFT cell and can differ from measured ones.

Crystal structure
abc: 7.7842 7.7842 7.7842
angles: 90.00 90.00 90.00
Fractional coordinates of all 32 atoms:
K  0.0000  0.0000  0.0000
K  0.0000  0.5000  0.5000
K  0.5000  0.0000  0.5000
K  0.5000  0.5000  0.0000
P  0.0000  0.0000  0.5000
P  0.0000  0.5000  0.0000
P  0.5000  0.0000  0.0000
P  0.5000  0.5000  0.5000
F  0.0683  0.1211  0.6582
F  0.0683  0.3789  0.1582
F  0.1211  0.6582  0.0683
F  0.1211  0.8418  0.5684
F  0.1582  0.0683  0.3789
F  0.1582  0.4316  0.8789
F  0.3418  0.5684  0.3789
F  0.3418  0.9316  0.8789
F  0.3789  0.1582  0.0683
F  0.3789  0.3418  0.5684
F  0.4316  0.6211  0.6582
F  0.4316  0.8789  0.1582
F  0.5684  0.1211  0.8418
F  0.5684  0.3789  0.3418
F  0.6211  0.6582  0.4316
F  0.6211  0.8418  0.9316
F  0.6582  0.0683  0.1211
F  0.6582  0.4316  0.6211
F  0.8418  0.5684  0.1211
F  0.8418  0.9316  0.6211
F  0.8789  0.1582  0.4316
F  0.8789  0.3418  0.9316
F  0.9316  0.6211  0.8418
F  0.9316  0.8789  0.3418

The 6 most intense peaks (2θ = 10–80°), by intensity:
| Position (°2θ) | I (rel.) | index |
| --- | --- | --- |
| 22.85 | 100 | 2 0 0 |
| 32.53 | 40 | 2 2 0 |
| 19.75 | 32 | 1 1 1 |
| 38.35 | 25 | 3 1 1 |
| 58.05 | 22 | 4 2 2 |
| 40.13 | 18 | 2 2 2 |

---

Q: Which formula does entry 3 have?
A: KPF6

---

Q: Which formula does entry 2 have?
A: KTlOsF6